KTbEuWO6: theoretical X-ray powder pattern (Cu Kα (weighted mean of Kα1 and Kα2)), based on a crystal structure in Alexandria, relaxed with PBE+U.
No peak broadening, texture or thermal motion is included.

Structural model:
```
KTbEuWO6
1.0
0.0000 4.1983 4.1983
4.1983 0.0000 4.1983
4.1983 4.1983 0.0000
K Tb Eu W O
1 1 1 1 6
direct
0.0000 0.0000 0.0000
0.7500 0.7500 0.7500
0.5000 0.5000 0.5000
0.2500 0.2500 0.2500
0.0174 0.0174 0.4826
0.0174 0.4826 0.0174
0.0174 0.4826 0.4826
0.4826 0.0174 0.0174
0.4826 0.0174 0.4826
0.4826 0.4826 0.0174
```

Peak list (6 most intense, 2θ from 15° to 90°, sorted by position)
- 2θ 30.10, intensity 100
- 2θ 43.09, intensity 29
- 2θ 53.46, intensity 40
- 2θ 62.58, intensity 18
- 2θ 71.00, intensity 18
- 2θ 86.80, intensity 22